Record 1
# Pu3CdHg12
Simulated powder diffractogram, CuKα. Input: a crystal structure in Alexandria, relaxed with GGA-PBE.

Structural model:
```
data_Pu3CdHg12
_cell_length_a 4.663
_cell_length_b 4.788
_cell_length_c 18.335
_cell_angle_alpha 90.00
_cell_angle_beta 90.00
_cell_angle_gamma 90.00
_space_group_name_H-M_alt 'P m m m'
_space_group_IT_number 47
loop_
_space_group_symop_operation_xyz
'x,y,z'
'-x,-y,-z'
'-x,-y,z'
'x,y,-z'
'x,-y,-z'
'-x,y,z'
'-x,y,-z'
'x,-y,z'
loop_
_atom_site_label
_atom_site_fract_x
_atom_site_fract_y
_atom_site_fract_z
_atom_site_occupancy
Pu1 0.000 0.000 0.000 1
Pu2 0.000 0.000 0.258 1
Cd1 0.000 0.000 0.500 1
Hg1 0.000 0.500 0.128 1
Hg2 0.000 0.500 0.379 1
Hg3 0.500 0.000 0.128 1
Hg4 0.500 0.000 0.381 1
Hg5 0.500 0.500 0.000 1
Hg6 0.500 0.500 0.253 1
Hg7 0.500 0.500 0.500 1
```

Main lines, most intense first (10 to 90 degrees two-theta):
2theta, I (rel.)
33.2, 100
37.6, 18
38.6, 17
39.3, 15
65.0, 15
66.4, 14
55.0, 12
67.4, 12
69.7, 12
55.5, 11
56.3, 11
80.2, 2

---

Record 2
# Pu3Cd2Hg6
Simulated powder diffractogram, CuKα. Input: a crystal structure in Alexandria, relaxed with GGA-PBE.

Structural model:
```
data_Pu3Cd2Hg6
_cell_length_a 5.450
_cell_length_b 5.450
_cell_length_c 22.262
_cell_angle_alpha 90.00
_cell_angle_beta 90.00
_cell_angle_gamma 90.00
_space_group_name_H-M_alt 'I 4/m m m'
_space_group_IT_number 139
_space_group_name_Hall '-I 4 2'
loop_
_atom_site_label
_atom_site_fract_x
_atom_site_fract_y
_atom_site_fract_z
_atom_site_occupancy
Pu1 0.000 0.000 0.000 1
Pu2 0.000 0.000 0.439 1
Cd1 0.000 0.000 0.170 1
Hg1 0.000 0.000 0.296 1
Hg2 0.000 0.500 0.119 1
```

Main lines, most intense first (10 to 90 degrees two-theta):
2theta, I (rel.)
32.9, 100
28.2, 79
40.0, 55
32.6, 54
47.0, 40
47.2, 37
63.5, 28
55.8, 25
78.5, 17
23.1, 15
15.9, 14
68.8, 13